The following is a computed X-ray powder pattern of Ca2YWO5. It was derived from a cell relaxed with PBE+U, using Cu Kα.
Kinematic intensities with the Lorentz-polarization factor, no thermal factor.

Principal peaks in the range 10° ≤ 2θ ≤ 90°, sorted by position:
2θ (°)  I/Imax
11.5  48
21.2  61
23.2  29
23.7  21
29.3  35
30.9  100
32.3  54
43.1  26
47.4  19
55.0  28

Structural model:
Unit cell a=8.589 b=8.589 c=6.100 alpha=107.39 beta=107.39 gamma=39.40
Atoms (fractional coordinates):
1 Ca 0.235 0.765 0.500
2 Ca 0.475 0.946 0.825
3 Ca 0.765 0.235 0.000
4 Ca 0.946 0.475 0.325
5 Y 0.151 0.576 0.844
6 Y 0.576 0.151 0.344
7 W 0.353 0.855 0.168
8 W 0.855 0.353 0.668
9 O 0.083 0.193 0.997
10 O 0.092 0.846 0.111
11 O 0.193 0.083 0.497
12 O 0.229 0.487 0.484
13 O 0.487 0.229 0.984
14 O 0.513 0.624 0.839
15 O 0.603 0.872 0.230
16 O 0.624 0.513 0.339
17 O 0.846 0.092 0.611
18 O 0.872 0.603 0.730